Record 1
Calculated powder X-ray diffraction pattern of Si3NiMo12 for copper Kα, from DFT lattice parameters and positions (GGA-PBE).
Intensities are scaled so that the largest is 100.

```
data_Si3NiMo12
_chemical_formula_sum 'Si3 Ni1 Mo12'
_cell_length_a 4.9234
_cell_length_b 4.9246
_cell_length_c 9.8550
_cell_angle_alpha 90.00
_cell_angle_beta 90.00
_cell_angle_gamma 90.00
_symmetry_space_group_name_H-M 'P 1'
_symmetry_Int_Tables_number 1
loop_
_symmetry_equiv_pos_as_xyz
'x,y,z'
loop_
_atom_site_label
_atom_site_type_symbol
_atom_site_fract_x
_atom_site_fract_y
_atom_site_fract_z
Si1 Si 0.0000 0.0000 0.0000
Si2 Si 0.5000 0.5000 0.2500
Si3 Si 0.5000 0.5000 0.7500
Ni1 Ni 0.0000 0.0000 0.5000
Mo1 Mo 0.0000 0.5000 0.1244
Mo2 Mo 0.0000 0.5000 0.3746
Mo3 Mo 0.0000 0.5000 0.6254
Mo4 Mo 0.0000 0.5000 0.8756
Mo5 Mo 0.2503 0.0000 0.2505
Mo6 Mo 0.2503 0.0000 0.7495
Mo7 Mo 0.5000 0.2493 0.0000
Mo8 Mo 0.5000 0.2502 0.5000
Mo9 Mo 0.5000 0.7498 0.5000
Mo10 Mo 0.5000 0.7507 0.0000
Mo11 Mo 0.7497 0.0000 0.2505
Mo12 Mo 0.7497 0.0000 0.7495
```

Principal peaks in the range 10 to 90 degrees two-theta, by intensity:
2θ = 40.98°, d = 2.203 Å, I = 100; 2θ = 45.09°, d = 2.011 Å, I = 36; 2θ = 68.72°, d = 1.366 Å, I = 21; 2θ = 71.70°, d = 1.316 Å, I = 17; 2θ = 36.49°, d = 2.463 Å, I = 17; 2θ = 25.58°, d = 3.483 Å, I = 17; 2θ = 65.67°, d = 1.422 Å, I = 14; 2θ = 77.53°, d = 1.231 Å, I = 11; 2θ = 88.86°, d = 1.101 Å, I = 5; 2θ = 59.34°, d = 1.557 Å, I = 3

=====

Record 2
Calculated powder X-ray diffraction pattern of MgBi4O8 for copper Kα, from DFT lattice parameters and positions (GGA-PBE).
Intensities are scaled so that the largest is 100.

```
data_MgBi4O8
_chemical_formula_sum 'Mg1 Bi4 O8'
_cell_length_a 6.3816
_cell_length_b 6.3816
_cell_length_c 6.3816
_cell_angle_alpha 67.82
_cell_angle_beta 67.82
_cell_angle_gamma 67.82
_symmetry_space_group_name_H-M 'P 1'
_symmetry_Int_Tables_number 1
loop_
_symmetry_equiv_pos_as_xyz
'x,y,z'
loop_
_atom_site_label
_atom_site_type_symbol
_atom_site_fract_x
_atom_site_fract_y
_atom_site_fract_z
Mg1 Mg 0.0000 0.0000 0.0000
Bi1 Bi 0.0000 0.0000 0.5000
Bi2 Bi 0.0000 0.5000 0.0000
Bi3 Bi 0.5000 0.0000 0.0000
Bi4 Bi 0.5000 0.5000 0.5000
O1 O 0.2207 0.7623 0.7623
O2 O 0.2378 0.2378 0.2378
O3 O 0.2377 0.2377 0.7793
O4 O 0.2377 0.7793 0.2377
O5 O 0.7623 0.2207 0.7623
O6 O 0.7623 0.7623 0.2207
O7 O 0.7622 0.7622 0.7622
O8 O 0.7793 0.2377 0.2377
```

Principal peaks in the range 10 to 90 degrees two-theta, by intensity:
2θ = 18.18°, d = 4.881 Å, I = 100; 2θ = 29.61°, d = 3.017 Å, I = 91; 2θ = 38.16°, d = 2.358 Å, I = 71; 2θ = 31.48°, d = 2.842 Å, I = 63; 2θ = 54.90°, d = 1.672 Å, I = 35; 2θ = 42.58°, d = 2.123 Å, I = 34; 2θ = 51.32°, d = 1.780 Å, I = 30; 2θ = 52.89°, d = 1.731 Å, I = 20; 2θ = 58.66°, d = 1.574 Å, I = 20; 2θ = 64.83°, d = 1.438 Å, I = 19

=====

Record 3
Calculated powder X-ray diffraction pattern of TlO for copper Kα, from DFT lattice parameters and positions (GGA-PBE).
Intensities are scaled so that the largest is 100.

```
data_TlO
_chemical_formula_sum 'Tl8 O8'
_cell_length_a 3.5899
_cell_length_b 3.5899
_cell_length_c 21.7754
_cell_angle_alpha 90.11
_cell_angle_beta 90.11
_cell_angle_gamma 94.30
_symmetry_space_group_name_H-M 'P 1'
_symmetry_Int_Tables_number 1
loop_
_symmetry_equiv_pos_as_xyz
'x,y,z'
loop_
_atom_site_label
_atom_site_type_symbol
_atom_site_fract_x
_atom_site_fract_y
_atom_site_fract_z
Tl1 Tl 0.1454 0.3559 0.0607
Tl2 Tl 0.2481 0.2481 0.1884
Tl3 Tl 0.2489 0.2466 0.6903
Tl4 Tl 0.3146 0.1899 0.5607
Tl5 Tl 0.6441 0.8546 0.9393
Tl6 Tl 0.7519 0.7519 0.8116
Tl7 Tl 0.7534 0.7511 0.3097
Tl8 Tl 0.8101 0.6854 0.4393
O1 O 0.1861 0.3121 0.7913
O2 O 0.1983 0.3055 0.2895
O3 O 0.2102 0.2878 0.9595
O4 O 0.2496 0.2478 0.4594
O5 O 0.6879 0.8139 0.2087
O6 O 0.6945 0.8017 0.7105
O7 O 0.7122 0.7898 0.0405
O8 O 0.7522 0.7504 0.5406
```

Principal peaks in the range 10 to 90 degrees two-theta, by intensity:
2θ = 26.21°, d = 3.401 Å, I = 100; 2θ = 32.91°, d = 2.722 Å, I = 42; 2θ = 36.81°, d = 2.441 Å, I = 34; 2θ = 35.17°, d = 2.552 Å, I = 28; 2θ = 35.25°, d = 2.546 Å, I = 24; 2θ = 34.07°, d = 2.632 Å, I = 24; 2θ = 48.96°, d = 1.860 Å, I = 20; 2θ = 48.09°, d = 1.892 Å, I = 16; 2θ = 51.03°, d = 1.790 Å, I = 15; 2θ = 50.27°, d = 1.815 Å, I = 13

=====

Record 4
Calculated powder X-ray diffraction pattern of LaPr3Co8P8 for copper Kα, from DFT lattice parameters and positions (GGA-PBE).
Intensities are scaled so that the largest is 100.

```
data_LaPr3Co8P8
_chemical_formula_sum 'La1 Pr3 Co8 P8'
_cell_length_a 3.9093
_cell_length_b 3.9093
_cell_length_c 19.9579
_cell_angle_alpha 90.00
_cell_angle_beta 90.00
_cell_angle_gamma 90.00
_symmetry_space_group_name_H-M 'P 1'
_symmetry_Int_Tables_number 1
loop_
_symmetry_equiv_pos_as_xyz
'x,y,z'
loop_
_atom_site_label
_atom_site_type_symbol
_atom_site_fract_x
_atom_site_fract_y
_atom_site_fract_z
La1 La 0.0000 0.0000 0.0000
Pr1 Pr 0.0000 0.0000 0.5000
Pr2 Pr 0.5000 0.5000 0.2504
Pr3 Pr 0.5000 0.5000 0.7496
Co1 Co 0.0000 0.5000 0.1263
Co2 Co 0.0000 0.5000 0.3750
Co3 Co 0.0000 0.5000 0.6250
Co4 Co 0.0000 0.5000 0.8737
Co5 Co 0.5000 0.0000 0.1263
Co6 Co 0.5000 0.0000 0.3750
Co7 Co 0.5000 0.0000 0.6250
Co8 Co 0.5000 0.0000 0.8737
P1 P 0.0000 0.0000 0.1824
P2 P 0.0000 0.0000 0.3186
P3 P 0.0000 0.0000 0.6814
P4 P 0.0000 0.0000 0.8176
P5 P 0.5000 0.5000 0.0707
P6 P 0.5000 0.5000 0.4313
P7 P 0.5000 0.5000 0.5687
P8 P 0.5000 0.5000 0.9293
```

Principal peaks in the range 10 to 90 degrees two-theta, by intensity:
2θ = 37.18°, d = 2.418 Å, I = 100; 2θ = 35.43°, d = 2.533 Å, I = 65; 2θ = 24.46°, d = 3.640 Å, I = 45; 2θ = 46.46°, d = 1.955 Å, I = 42; 2θ = 59.76°, d = 1.548 Å, I = 28; 2θ = 65.50°, d = 1.425 Å, I = 23; 2θ = 79.95°, d = 1.200 Å, I = 20; 2θ = 36.00°, d = 2.495 Å, I = 18; 2θ = 51.41°, d = 1.778 Å, I = 16; 2θ = 60.14°, d = 1.539 Å, I = 16

=====

Record 5
Calculated powder X-ray diffraction pattern of Rb5Tc3S7 for copper Kα, from DFT lattice parameters and positions (GGA-PBE).
Intensities are scaled so that the largest is 100.

```
data_Rb5Tc3S7
_chemical_formula_sum 'Rb10 Tc6 S14'
_cell_length_a 10.7943
_cell_length_b 10.7943
_cell_length_c 11.0262
_cell_angle_alpha 120.60
_cell_angle_beta 120.60
_cell_angle_gamma 59.98
_symmetry_space_group_name_H-M 'P 1'
_symmetry_Int_Tables_number 1
loop_
_symmetry_equiv_pos_as_xyz
'x,y,z'
loop_
_atom_site_label
_atom_site_type_symbol
_atom_site_fract_x
_atom_site_fract_y
_atom_site_fract_z
Rb1 Rb 0.0000 0.0000 0.0000
Rb2 Rb 0.0169 0.0169 0.5720
Rb3 Rb 0.2740 0.6735 0.2619
Rb4 Rb 0.4372 0.8711 0.1454
Rb5 Rb 0.4489 0.8616 0.7379
Rb6 Rb 0.6735 0.2740 0.2619
Rb7 Rb 0.8195 0.8195 0.5730
Rb8 Rb 0.8452 0.8452 0.1338
Rb9 Rb 0.8616 0.4489 0.7379
Rb10 Rb 0.8711 0.4372 0.1454
Tc1 Tc 0.2321 0.2321 0.5181
Tc2 Tc 0.2331 0.4790 0.7635
Tc3 Tc 0.2331 0.4806 0.5253
Tc4 Tc 0.4790 0.2331 0.7635
Tc5 Tc 0.4791 0.4791 0.7674
Tc6 Tc 0.4806 0.2331 0.5253
S1 S 0.0181 0.4625 0.5285
S2 S 0.0682 0.0682 0.3437
S3 S 0.0681 0.6587 0.3853
S4 S 0.0725 0.6486 0.9194
S5 S 0.2422 0.2422 0.7491
S6 S 0.2448 0.2448 0.3115
S7 S 0.2450 0.6940 0.7577
S8 S 0.4625 0.0181 0.5285
S9 S 0.4688 0.4688 0.5360
S10 S 0.4686 0.4686 0.9761
S11 S 0.6406 0.6406 0.9314
S12 S 0.6486 0.0725 0.9194
S13 S 0.6587 0.0681 0.3853
S14 S 0.6940 0.2450 0.7577
```

Principal peaks in the range 10 to 90 degrees two-theta, by intensity:
2θ = 11.47°, d = 7.712 Å, I = 100; 2θ = 33.19°, d = 2.699 Å, I = 43; 2θ = 10.07°, d = 8.785 Å, I = 36; 2θ = 11.70°, d = 7.564 Å, I = 30; 2θ = 25.93°, d = 3.436 Å, I = 29; 2θ = 25.46°, d = 3.498 Å, I = 27; 2θ = 25.32°, d = 3.517 Å, I = 25; 2θ = 47.14°, d = 1.928 Å, I = 21; 2θ = 52.05°, d = 1.757 Å, I = 21; 2θ = 34.90°, d = 2.571 Å, I = 20

=====

Question: What is the formula in the third record?
Answer: TlO